No. 1
Calculated powder XRD pattern of Ti2Co3Te3O16 for λ = 1.5418 Å (Cu Kα), from a crystal structure in Alexandria, relaxed with PBE+U.
Peak positions follow from Bragg's law for the DFT cell and can differ from measured ones.

```
Ti2Co3Te3O16
1.0
5.398 -3.026 0.000
5.398 3.026 0.000
-0.361 0.000 9.366
Ti Co Te O
2 3 3 16
Direct
0.000 0.000 0.000
0.682 0.682 0.448
0.188 0.688 0.260
0.546 0.546 0.752
0.688 0.188 0.260
0.044 0.545 0.741
0.187 0.187 0.246
0.545 0.044 0.741
0.007 0.514 0.361
0.038 0.038 0.355
0.196 0.703 0.850
0.224 0.224 0.850
0.311 0.891 0.112
0.345 0.345 0.159
0.368 0.368 0.632
0.423 0.866 0.627
0.514 0.007 0.361
0.532 0.532 0.373
0.703 0.196 0.850
0.728 0.728 0.860
0.857 0.857 0.619
0.866 0.423 0.627
0.877 0.877 0.113
0.891 0.311 0.112
```

Peak list (10 most intense, 5 to 70 degrees two-theta, low angle first)
d/Å, Rel. int.
4.754, 35
4.683, 100
4.636, 38
4.562, 21
2.619, 28
2.542, 22
2.528, 26
2.318, 22
2.034, 23
1.514, 22



No. 2
Calculated powder XRD pattern of Ti3Co3Te2O16 for λ = 1.5418 Å (Cu Kα), from a crystal structure in Alexandria, relaxed with PBE+U.
Peak positions follow from Bragg's law for the DFT cell and can differ from measured ones.

```
Ti3Co3Te2O16
1.0
5.258 -2.960 0.000
5.258 2.960 0.000
-0.213 0.000 9.238
Ti Co Te O
3 3 2 16
Direct
0.000 0.000 0.000
0.323 0.821 0.511
0.821 0.323 0.511
0.332 0.332 0.518
0.503 0.993 0.017
0.993 0.503 0.017
0.487 0.487 0.232
0.821 0.821 0.736
0.122 0.693 0.869
0.153 0.153 0.425
0.167 0.167 0.925
0.202 0.651 0.371
0.323 0.323 0.128
0.324 0.800 0.116
0.505 0.978 0.623
0.511 0.511 0.620
0.633 0.633 0.373
0.651 0.202 0.371
0.685 0.685 0.883
0.693 0.122 0.869
0.800 0.324 0.116
0.828 0.828 0.107
0.976 0.976 0.612
0.978 0.505 0.623
```

Peak list (10 most intense, 5 to 70 degrees two-theta, low angle first)
d/Å, Rel. int.
4.616, 46
4.525, 100
4.483, 65
3.461, 25
3.425, 24
2.630, 37
2.547, 34
2.503, 26
2.492, 42
1.509, 42



No. 3
Calculated powder XRD pattern of TlCoTeO6 for λ = 1.5418 Å (Cu Kα), from a crystal structure in Alexandria, relaxed with PBE+U.
Peak positions follow from Bragg's law for the DFT cell and can differ from measured ones.

```
TlCoTeO6
1.0
5.097 0.000 0.000
-2.549 4.414 0.000
0.000 0.000 4.844
Tl Co Te O
1 1 1 6
Direct
0.000 0.000 0.000
0.333 0.667 0.500
0.667 0.333 0.500
0.006 0.373 0.722
0.006 0.633 0.278
0.367 0.373 0.278
0.367 0.994 0.722
0.627 0.633 0.722
0.627 0.994 0.278
```

Peak list (10 most intense, 5 to 70 degrees two-theta, low angle first)
d/Å, Rel. int.
4.414, 12
3.263, 100
2.549, 33
2.422, 7
2.123, 6
2.008, 25
1.756, 34
1.578, 24
1.516, 10
1.471, 11